# AlBi2Te2BrCl4
Calculated X-ray diffraction stick pattern, Cu Kα (λ = 1.5418 Å). Input: a cell relaxed with PBE.
No peak broadening, texture or thermal motion is included.

Structural model:
```
data_AlBi2Te2BrCl4
_cell_length_a 21.8391
_cell_length_b 8.6565
_cell_length_c 13.9296
_cell_angle_alpha 90.00
_cell_angle_beta 99.79
_cell_angle_gamma 90.00
_space_group_name_H-M_alt 'C 1 2/c 1'
_space_group_IT_number 15
loop_
_space_group_symop_operation_xyz
'x,y,z'
'-x,-y,-z'
'-x,y,-z+1/2'
'x,-y,z+1/2'
'x+1/2,y+1/2,z'
'-x+1/2,-y+1/2,-z'
'-x+1/2,y+1/2,-z+1/2'
'x+1/2,-y+1/2,z+1/2'
loop_
_atom_site_label
_atom_site_type_symbol
_atom_site_fract_x
_atom_site_fract_y
_atom_site_fract_z
Al1 Al 0.2305 0.1244 0.1734
Bi1 Bi 0.0584 0.3714 0.1126
Bi2 Bi 0.0659 0.1204 0.6121
Te1 Te 0.0712 0.1275 0.9623
Te2 Te 0.0783 0.3772 0.4697
Br1 Br 0.0000 0.1263 0.2500
Br2 Br 0.0000 0.3769 0.7500
Cl1 Cl 0.1687 0.1131 0.2785
Cl2 Cl 0.1713 0.3698 0.7705
Cl3 Cl 0.2042 0.3345 0.0913
Cl4 Cl 0.2105 0.0784 0.5819
```

Main lines, most intense first (10 to 90 degrees two-theta):
28.4°, I = 100; 28.6°, I = 83; 14.1°, I = 58; 30.0°, I = 44; 32.2°, I = 43; 41.7°, I = 32; 31.2°, I = 28; 22.7°, I = 27; 40.1°, I = 27; 33.3°, I = 23